Diffraction record for LaIn3Au. The powder XRD pattern is theoretical, not measured: it uses the GGA-PBE geometry in Alexandria and Cu Kα, 1.54184 Å.
Neutral-atom scattering factors, no anomalous dispersion.

Most intense lines, 2θ from 10° to 80°, by angle:
| 2theta | I/Imax | index |
| --- | --- | --- |
| 12.10 | 15 | 1 0 1 |
| 31.09 | 100 | 1 1 3 |
| 35.64 | 40 | 3 1 1 |
| 38.51 | 32 | 0 2 0 |
| 39.09 | 16 | 1 0 5 |
| 41.80 | 21 | 3 1 3 |

Structure:
a b c (Å): 9.269 4.676 11.896
angles (deg): 90.00 90.00 90.00
Element x y z (fractional)
La  0.197  0.250  0.006
La  0.303  0.750  0.506
La  0.697  0.250  0.494
La  0.803  0.750  0.994
In  0.070  0.250  0.596
In  0.104  0.750  0.815
In  0.133  0.750  0.205
In  0.367  0.250  0.705
In  0.396  0.250  0.315
In  0.430  0.750  0.096
In  0.570  0.250  0.904
In  0.604  0.750  0.685
In  0.633  0.750  0.295
In  0.867  0.250  0.795
In  0.896  0.250  0.185
In  0.930  0.750  0.404
Au  0.101  0.250  0.359
Au  0.399  0.750  0.859
Au  0.601  0.250  0.141
Au  0.899  0.750  0.641